Li2Mn3GaO8: calculated PXRD pattern (Cu Ka), based on a crystal structure in Alexandria, relaxed with GGA+U.
No peak broadening, texture or thermal motion is included.

Crystal structure
Lattice parameters (Å, degrees): 5.909 5.909 5.877 118.58 118.58 59.08
Fractional positions:
Li  0.113  0.113  0.367
Li  0.887  0.887  0.633
Mn  0.000  0.500  0.000
Mn  0.500  0.000  0.000
Mn  0.500  0.500  0.500
Ga  0.500  0.500  0.000
O  0.243  0.243  0.210
O  0.250  0.704  0.232
O  0.262  0.262  0.788
O  0.296  0.750  0.768
O  0.704  0.250  0.232
O  0.738  0.738  0.212
O  0.750  0.296  0.768
O  0.757  0.757  0.790

Principal peaks in the range 2θ from 10° to 80°, in order of rising 2θ:
18.07 deg, I 65; 18.40 deg, I 100; 18.52 deg, I 36; 34.92 deg, I 22; 35.55 deg, I 17; 36.06 deg, I 37; 37.30 deg, I 13; 42.08 deg, I 39; 43.76 deg, I 70; 61.70 deg, I 22; 62.96 deg, I 21; 63.91 deg, I 10